1.
Theoretical X-ray powder pattern of Ti2N2O for CuKα, from DFT lattice parameters and positions (PBE).

Principal peaks in the range 2θ from 10° to 90°, by intensity:
2θ (°), intensity
32.63, 100
54.61, 35
32.70, 32
22.93, 30
37.88, 18
54.72, 16
48.84, 12
65.07, 12

Atomic structure:
```
Ti2N2O
1.0
8.2157 0.0000 0.0000
-2.7246 7.7630 0.0000
-2.7367 -3.8739 6.7233
Ti N O
16 16 8
direct
0.0000 0.0000 0.0000
0.0055 0.5166 0.4913
0.0376 0.2830 0.8240
0.2046 0.2570 0.5356
0.2532 0.0488 0.7781
0.2651 0.5621 0.3120
0.2956 0.8451 0.0434
0.4500 0.8031 0.7544
0.4881 0.5808 0.0748
0.5054 0.0895 0.5877
0.5569 0.3092 0.3329
0.7100 0.7588 0.5393
0.7347 0.0477 0.2769
0.7612 0.5450 0.7852
0.7976 0.3476 0.0403
0.9690 0.8115 0.2504
0.0239 0.7739 0.0221
0.0262 0.5998 0.2990
0.2005 0.7780 0.7499
0.2106 0.0001 0.5138
0.2588 0.5065 0.5224
0.3005 0.3286 0.8317
0.4765 0.4993 0.2762
0.4872 0.8261 0.5168
0.5168 0.0442 0.3286
0.5271 0.0964 0.8442
0.5270 0.8150 0.0151
0.7420 0.2758 0.2398
0.7950 0.3203 0.7827
0.7987 0.5594 0.5674
0.9724 0.0120 0.7407
0.9875 0.0622 0.2472
0.0176 0.2786 0.0622
0.2443 0.5956 0.0591
0.2863 0.0986 0.0669
0.4774 0.3278 0.5633
0.7029 0.5444 0.0180
0.7128 0.7856 0.7997
0.7618 0.8238 0.3388
0.9750 0.2770 0.5639
```

2.
Theoretical X-ray powder pattern of Nd3Se2NO for CuKα, from DFT lattice parameters and positions (PBE).

Principal peaks in the range 2θ from 10° to 90°, by intensity:
2θ (°), intensity
29.44, 100
27.75, 64
35.21, 51
46.01, 36
44.59, 21
53.33, 21
57.77, 16
38.86, 15

Atomic structure:
```
Nd3Se2NO
1.0
12.3083 -2.0322 0.0000
12.3083 2.0322 0.0000
-0.9962 0.0000 9.6427
Nd Se N O
9 6 3 3
direct
0.0000 0.0000 0.0000
0.0919 0.0919 0.3445
0.2747 0.2747 0.3355
0.3489 0.3489 0.6926
0.5304 0.5304 0.6806
0.6227 0.6227 0.0251
0.7212 0.7212 0.6581
0.8115 0.8115 0.0209
0.8998 0.8998 0.3680
0.1205 0.1205 0.6779
0.2240 0.2240 0.9705
0.3996 0.3996 0.0386
0.5018 0.5018 0.3466
0.6784 0.6784 0.3485
0.9437 0.9437 0.6826
0.0887 0.0887 0.1152
0.5347 0.5347 0.9096
0.8124 0.8124 0.2571
0.2583 0.2583 0.5804
0.3645 0.3645 0.4564
0.8110 0.8110 0.7606
```

3.
Theoretical X-ray powder pattern of MnB2H8 for CuKα, from DFT lattice parameters and positions (PBE).

Principal peaks in the range 2θ from 10° to 90°, by intensity:
2θ (°), intensity
21.87, 100
23.43, 41
40.26, 39
37.37, 24
44.58, 21
46.97, 12
58.84, 11
62.30, 9

Atomic structure:
```
MnB2H8
1.0
-3.7966 3.7966 6.2215
3.7966 -3.7966 6.2215
3.7966 3.7966 -6.2215
Mn B H
4 8 32
direct
0.1250 0.3750 0.7500
0.3750 0.1250 0.2500
0.6250 0.8750 0.7500
0.8750 0.6250 0.2500
0.2276 0.2500 0.4776
0.2500 0.2724 0.0224
0.2500 0.7724 0.5224
0.2724 0.7500 0.0224
0.7276 0.2500 0.9776
0.7500 0.2276 0.4776
0.7500 0.7276 0.9776
0.7724 0.7500 0.5224
0.0972 0.6769 0.9349
0.1185 0.3681 0.9916
0.1234 0.8730 0.4916
0.1270 0.1185 0.2504
0.1319 0.3815 0.5084
0.1623 0.0972 0.9203
0.1769 0.5972 0.4349
0.2420 0.1623 0.5651
0.2580 0.8231 0.9203
0.3231 0.7580 0.4203
0.3377 0.2580 0.9349
0.3681 0.8766 0.2496
0.3730 0.6234 0.9916
0.3766 0.8681 0.7496
0.3815 0.3730 0.2496
0.4028 0.3377 0.5797
0.5972 0.6623 0.4203
0.6185 0.6270 0.7504
0.6234 0.1319 0.2504
0.6270 0.3766 0.0084
0.6319 0.1234 0.7504
0.6623 0.7420 0.0651
0.6769 0.2420 0.5797
0.7420 0.1769 0.0797
0.7580 0.8377 0.4349
0.8231 0.4028 0.5651
0.8377 0.9028 0.0797
0.8681 0.6185 0.4916
0.8730 0.8815 0.7496
0.8766 0.1270 0.5084
0.8815 0.6319 0.0084
0.9028 0.3231 0.0651
```

4.
Theoretical X-ray powder pattern of Ga4B2O9 for CuKα, from DFT lattice parameters and positions (PBE).

Principal peaks in the range 2θ from 10° to 90°, by intensity:
2θ (°), intensity
15.49, 100
17.40, 64
31.27, 51
35.22, 31
38.53, 27
35.46, 26
60.33, 21
11.07, 19

Atomic structure:
```
Ga4B2O9
1.0
7.9917 -2.8468 0.0000
7.9917 2.8468 0.0000
-7.9713 0.0000 8.1822
Ga B O
8 4 18
direct
0.0000 0.5000 0.0000
0.0000 0.5000 0.5000
0.0052 0.0052 0.1383
0.2557 0.2557 0.2605
0.5000 0.0000 0.0000
0.5000 0.0000 0.5000
0.7443 0.7443 0.7395
0.9948 0.9948 0.8617
0.2051 0.2051 0.7080
0.4967 0.4967 0.7827
0.5033 0.5033 0.2173
0.7949 0.7949 0.2920
0.0102 0.5949 0.3649
0.1004 0.1004 0.0947
0.1589 0.1589 0.3662
0.2192 0.2192 0.8427
0.2290 0.6585 0.1487
0.2838 0.2838 0.1283
0.3415 0.7710 0.8513
0.3758 0.3758 0.6450
0.4051 0.9898 0.6351
0.5949 0.0102 0.3649
0.6242 0.6242 0.3550
0.6585 0.2290 0.1487
0.7162 0.7162 0.8717
0.7710 0.3415 0.8513
0.7808 0.7808 0.1573
0.8411 0.8411 0.6338
0.8996 0.8996 0.9053
0.9898 0.4051 0.6351
```

5.
Theoretical X-ray powder pattern of BaLiMg14 for CuKα, from DFT lattice parameters and positions (PBE).

Principal peaks in the range 2θ from 10° to 90°, by intensity:
2θ (°), intensity
35.92, 100
35.26, 56
17.74, 49
33.68, 39
15.65, 31
22.93, 31
31.60, 28
55.33, 21

Atomic structure:
```
BaLiMg14
1.0
10.6447 0.0000 0.0000
0.0000 3.2451 5.7973
0.0000 -3.2451 5.7973
Ba Li Mg
1 1 14
direct
0.0000 0.0000 0.0000
0.0000 0.4943 0.4943
0.0000 0.0075 0.4943
0.0000 0.4943 0.0075
0.2458 0.6619 0.6619
0.2644 0.1680 0.1680
0.2651 0.1670 0.6534
0.2651 0.6534 0.1670
0.5000 0.4994 0.4994
0.5000 0.4988 0.9946
0.5000 0.9946 0.4988
0.5000 0.9981 0.9981
0.7349 0.1670 0.6534
0.7349 0.6534 0.1670
0.7356 0.1680 0.1680
0.7542 0.6619 0.6619
```

6.
Theoretical X-ray powder pattern of Sm2Ga2Co5 for CuKα, from DFT lattice parameters and positions (PBE).

Principal peaks in the range 2θ from 10° to 90°, by intensity:
2θ (°), intensity
41.53, 100
34.17, 55
32.31, 34
39.75, 33
34.44, 26
66.21, 24
71.96, 23
44.96, 13

Atomic structure:
```
Sm2Ga2Co5
1.0
2.6243 1.5151 11.6498
-2.6243 1.5151 11.6498
0.0000 -3.0302 11.6498
Sm Ga Co
4 4 10
direct
0.0494 0.0494 0.0494
0.1473 0.1473 0.1473
0.8527 0.8527 0.8527
0.9506 0.9506 0.9506
0.2780 0.2780 0.2780
0.3882 0.3882 0.3882
0.6118 0.6118 0.6118
0.7220 0.7220 0.7220
0.0000 0.5000 0.5000
0.1130 0.6097 0.6097
0.3903 0.3903 0.8870
0.3903 0.8870 0.3903
0.5000 0.0000 0.5000
0.5000 0.5000 0.0000
0.5000 0.5000 0.5000
0.6097 0.1130 0.6097
0.6097 0.6097 0.1130
0.8870 0.3903 0.3903
```

7.
Theoretical X-ray powder pattern of SnTe for CuKα, from DFT lattice parameters and positions (PBE).

Principal peaks in the range 2θ from 10° to 90°, by intensity:
2θ (°), intensity
27.80, 100
39.73, 78
64.99, 37
49.18, 28
72.11, 27
57.44, 13
85.62, 9

Atomic structure:
```
SnTe
1.0
0.0000 3.2086 3.2086
3.2086 0.0000 3.2086
3.2086 3.2086 0.0000
Sn Te
1 1
direct
0.0000 0.0000 0.0000
0.5000 0.5000 0.5000
```